Record 1
For Li9Mn2Co5O16, a crystal structure in the Materials Project, relaxed with PBE+U gives the simulated X-ray powder pattern in this record (λ = 1.5418 Å (Cu Kα)).
No peak broadening, texture or thermal motion is included.

Top 10 peaks for 10 to 80 degrees two-theta, by intensity:
| Position (°2θ) | I (rel.) |
| --- | --- |
| 18.40 | 100 |
| 44.39 | 51 |
| 41.75 | 31 |
| 62.57 | 30 |
| 36.43 | 25 |
| 34.73 | 18 |
| 64.97 | 11 |
| 11.99 | 10 |
| 47.34 | 10 |
| 58.51 | 10 |

Structure:
a b c (Å): 10.421 11.481 5.210
angles (deg): 90.00 112.30 90.00
Space group C2 (No. 5)
Symmetry-distinct sites (fractional):
Li  0.000  0.000  0.000 (multiplicity 2)
Li  0.244  0.000  0.494 (multiplicity 4)
Li  0.246  0.123  0.996 (multiplicity 4)
Li  0.248  0.377  0.004 (multiplicity 4)
Li  0.249  0.251  0.498 (multiplicity 4)
Mn  0.000  0.752  0.000 (multiplicity 2)
Mn  0.000  0.875  0.500 (multiplicity 2)
Co  0.000  0.125  0.500 (multiplicity 2)
Co  0.000  0.246  0.000 (multiplicity 2)
Co  0.000  0.376  0.500 (multiplicity 2)
Co  0.000  0.502  0.000 (multiplicity 2)
Co  0.000  0.625  0.500 (multiplicity 2)
O  0.109  0.870  0.263 (multiplicity 4)
O  0.111  0.501  0.729 (multiplicity 4)
O  0.112  0.136  0.238 (multiplicity 4)
O  0.112  0.371  0.222 (multiplicity 4)
O  0.113  0.255  0.734 (multiplicity 4)
O  0.115  0.748  0.725 (multiplicity 4)
O  0.117  0.624  0.232 (multiplicity 4)
O  0.117  0.996  0.722 (multiplicity 4)

=====

Record 2
For LiCrPO4F, a crystal structure in the Materials Project, relaxed with PBE+U gives the simulated X-ray powder pattern in this record (λ = 1.5418 Å (Cu Kα)).
No peak broadening, texture or thermal motion is included.

Top 10 peaks for 10 to 80 degrees two-theta, by intensity:
| Position (°2θ) | I (rel.) |
| --- | --- |
| 27.05 | 100 |
| 18.56 | 95 |
| 29.14 | 94 |
| 26.90 | 68 |
| 36.33 | 46 |
| 17.92 | 34 |
| 22.31 | 28 |
| 25.97 | 26 |
| 26.59 | 25 |
| 54.79 | 24 |

Structure:
a b c (Å): 5.203 5.355 7.284
angles (deg): 106.98 108.38 98.11
Space group P-1 (No. 2)
Symmetry-distinct sites (fractional):
Li  0.228  0.385  0.310 (multiplicity 2)
Cr  0.500  0.000  0.000 (multiplicity 1)
Cr  0.500  0.000  0.500 (multiplicity 1)
P  0.178  0.357  0.739 (multiplicity 2)
O  0.131  0.755  0.417 (multiplicity 2)
O  0.193  0.660  0.843 (multiplicity 2)
O  0.246  0.213  0.894 (multiplicity 2)
O  0.377  0.334  0.614 (multiplicity 2)
F  0.374  0.068  0.237 (multiplicity 2)

=====

Which formula does entry 2 have? LiCrPO4F